Calculated powder XRD pattern of GaNi2OsO6 for Cu Kα (λ = 1.5418 Å), from the PBE+U geometry in Alexandria.

Cell and atoms:
a b c (Å): 5.2547 5.2547 4.7829
angles (deg): 90.00 90.00 90.00
Space group P4mm (No. 99)
Inequivalent atoms, fractional coordinates:
Ga1 0.0000 0.0000 0.0000
Ni1 0.0000 0.5000 0.3537
Os1 0.5000 0.5000 0.0284
O1 0.0000 0.0000 0.6285
O2 0.2518 0.2518 0.1771
O3 0.5000 0.5000 0.6644

Largest 12 diffraction maxima, sorted by position, 5° ≤ 2θ ≤ 70°:
Position (°2θ)  I/Imax
16.87  23.7
18.55  50.3
23.95  22.2
25.18  20.0
30.46  100.0
34.13  43.2
45.08  38.3
49.03  27.6
51.69  13.4
52.87  12.1
58.83  30.5
68.84  37.9